Mn4Ni6Pt7: computed X-ray powder pattern (Cu Kα, 1.54184 Å), based on a cell relaxed with PBE.
Kinematic intensities with the Lorentz-polarization factor, no thermal factor.

Principal peaks in the range 15° ≤ 2θ ≤ 90°, in order of rising 2θ:
2θ (°)  intensity
15.8  12.0
22.4  35.2
27.6  50.7
39.4  100.0
42.7  60.8
45.8  75.5
54.3  24.1
66.8  44.0
73.7  15.2
80.4  30.1
82.5  14.4
84.7  14.1

Cell and atoms:
```
data_Mn4Ni6Pt7
_chemical_formula_sum 'Mn8 Ni12 Pt14'
_cell_length_a 7.926
_cell_length_b 7.926
_cell_length_c 7.926
_cell_angle_alpha 90.00
_cell_angle_beta 90.00
_cell_angle_gamma 90.00
_symmetry_space_group_name_H-M 'I m -3 m'
_symmetry_Int_Tables_number 229
_symmetry_space_group_name_Hall '-I 4 2 3'
loop_
_atom_site_label
_atom_site_fract_x
_atom_site_fract_y
_atom_site_fract_z
Mn1 0.250 0.250 0.250
Ni1 0.000 0.000 0.299
Pt1 0.000 0.000 0.000
Pt2 0.000 0.250 0.500
```